[1]
Starting from a crystal structure in OQMD, relaxed with PBE, the PXRD pattern of Cd2H2SO6 was simulated for CuKα.

The 8 most intense peaks (5 to 70 degrees two-theta), sorted by position:
(hkl)	2θ/deg	Rel. int.
1 1 -1	17.51	76
1 1 0	18.96	97
1 1 -2	20.43	35
2 1 -1	29.07	62
0 1 3	29.68	100
2 0 0	29.88	95
2 0 -4	33.62	53
2 2 -2	35.45	37

Cell and atoms:
```
data_Cd2H2SO6
_symmetry_space_group_name_H-M 'P 1 21/c 1'
_symmetry_Int_Tables_number 14
_symmetry_space_group_name_Hall '-P 2ybc'
_cell_length_a 6.899
_cell_length_b 7.526
_cell_length_c 11.371
_cell_angle_alpha 90.00
_cell_angle_beta 119.95
_cell_angle_gamma 90.00
loop_
_atom_site_label
_atom_site_type_symbol
_atom_site_fract_x
_atom_site_fract_y
_atom_site_fract_z
Cd1 Cd 0.155 0.032 0.168
Cd2 Cd 0.324 0.165 0.502
H1 H 0.086 0.709 0.049
H2 H 0.232 0.683 0.867
S1 S 0.311 0.006 0.783
O1 O 0.023 0.194 0.976
O2 O 0.159 0.595 0.315
O3 O 0.248 0.523 0.139
O4 O 0.299 0.200 0.806
O5 O 0.317 0.573 0.877
O6 O 0.456 0.057 0.126
```

[2]
Starting from a crystal structure in OQMD, relaxed with PBE, the PXRD pattern of CdH2SO5 was simulated for CuKα.

The 8 most intense peaks (5 to 70 degrees two-theta), sorted by position:
(hkl)	2θ/deg	Rel. int.
1 1 0	18.19	87
0 2 0	23.23	27
1 1 -2	25.77	100
2 0 0	28.20	53
0 2 2	34.87	60
2 2 0	36.87	26
1 3 0	38.01	21
3 1 -2	40.44	32

Cell and atoms:
```
data_CdH2SO5
_symmetry_space_group_name_H-M 'C 1 2/c 1'
_symmetry_Int_Tables_number 15
_symmetry_space_group_name_Hall '-C 2yc'
_cell_length_a 7.100
_cell_length_b 7.658
_cell_length_c 7.792
_cell_angle_alpha 90.00
_cell_angle_beta 116.92
_cell_angle_gamma 90.00
loop_
_atom_site_label
_atom_site_type_symbol
_atom_site_fract_x
_atom_site_fract_y
_atom_site_fract_z
Cd1 Cd 0.000 0.000 0.000
H1 H 0.130 0.233 0.288
S1 S 0.000 0.357 0.750
O1 O 0.000 0.160 0.250
O2 O 0.122 0.241 0.681
O3 O 0.150 0.466 0.909
```

[3]
Starting from a crystal structure in OQMD, relaxed with PBE, the PXRD pattern of CdH2SeO4 was simulated for CuKα.

The 8 most intense peaks (5 to 70 degrees two-theta), sorted by position:
(hkl)	2θ/deg	Rel. int.
2 0 0	13.86	32
1 0 1	19.08	31
0 1 1	23.36	13
2 1 1	27.26	18
0 2 0	30.37	34
3 1 1	31.51	100
4 1 0	31.87	22
3 3 1	54.69	18

Cell and atoms:
```
data_CdH2SeO4
_symmetry_space_group_name_H-M 'P n m a'
_symmetry_Int_Tables_number 62
_symmetry_space_group_name_Hall '-P 2ac 2n'
_cell_length_a 12.782
_cell_length_b 5.886
_cell_length_c 4.994
_cell_angle_alpha 90.00
_cell_angle_beta 90.00
_cell_angle_gamma 90.00
loop_
_atom_site_label
_atom_site_type_symbol
_atom_site_fract_x
_atom_site_fract_y
_atom_site_fract_z
Cd1 Cd 0.226 0.250 0.097
H1 H 0.107 0.117 0.549
Se1 Se 0.083 0.750 0.002
O1 O 0.100 0.250 0.427
O2 O 0.130 0.750 0.316
O3 O 0.152 0.528 0.844
```

[4]
Starting from a crystal structure in OQMD, relaxed with PBE, the PXRD pattern of CdH2SeO5 was simulated for CuKα.

The 8 most intense peaks (5 to 70 degrees two-theta), sorted by position:
(hkl)	2θ/deg	Rel. int.
0 1 1	17.25	28
1 1 0	17.81	21
1 1 -2	25.03	100
1 2 -1	26.81	34
2 0 0	27.13	47
2 2 -2	35.45	25
1 1 2	36.72	41
1 3 0	37.91	26

Cell and atoms:
```
data_CdH2SeO5
_symmetry_space_group_name_H-M 'P 1 21/c 1'
_symmetry_Int_Tables_number 14
_symmetry_space_group_name_Hall '-P 2ybc'
_cell_length_a 7.603
_cell_length_b 7.634
_cell_length_c 8.046
_cell_angle_alpha 90.00
_cell_angle_beta 120.17
_cell_angle_gamma 90.00
loop_
_atom_site_label
_atom_site_type_symbol
_atom_site_fract_x
_atom_site_fract_y
_atom_site_fract_z
Cd1 Cd 0.202 0.237 0.259
H1 H 0.200 0.517 0.021
H2 H 0.419 0.071 0.619
Se1 Se 0.265 0.620 0.519
O1 O 0.103 0.008 0.836
O2 O 0.114 0.715 0.012
O3 O 0.270 0.101 0.544
O4 O 0.352 0.507 0.726
O5 O 0.459 0.695 0.502
```

[5]
Starting from a crystal structure in OQMD, relaxed with PBE, the PXRD pattern of Hf3Cd was simulated for CuKα.

The 8 most intense peaks (5 to 70 degrees two-theta), sorted by position:
(hkl)	2θ/deg	Rel. int.
0 0 1	9.94	5
1 0 1	30.25	1
1 0 2	35.03	100
0 0 4	40.55	17
1 1 0	40.74	33
1 0 3	41.98	2
1 1 4	58.83	22
2 0 0	58.97	11

Cell and atoms:
```
data_Hf3Cd
_symmetry_space_group_name_H-M 'P 4 m m'
_symmetry_Int_Tables_number 99
_symmetry_space_group_name_Hall 'P 4 -2'
_cell_length_a 3.132
_cell_length_b 3.132
_cell_length_c 8.899
_cell_angle_alpha 90.00
_cell_angle_beta 90.00
_cell_angle_gamma 90.00
loop_
_atom_site_label
_atom_site_type_symbol
_atom_site_fract_x
_atom_site_fract_y
_atom_site_fract_z
Hf1 Hf 0.000 0.000 0.000
Hf2 Hf 0.000 0.000 0.493
Hf3 Hf 0.500 0.500 0.246
Cd1 Cd 0.500 0.500 0.745
```

[6]
Starting from a crystal structure in OQMD, relaxed with PBE, the PXRD pattern of Hf2Cd3Hg was simulated for CuKα.

The 8 most intense peaks (5 to 70 degrees two-theta), sorted by position:
(hkl)	2θ/deg	Rel. int.
0 0 1	8.07	7
1 0 1	27.81	3
1 0 3	36.37	100
1 1 0	37.93	45
0 0 6	49.95	10
2 0 0	54.72	15
1 1 6	64.39	19
2 1 3	67.50	32

Cell and atoms:
```
data_Hf2Cd3Hg
_symmetry_space_group_name_H-M 'P 4 m m'
_symmetry_Int_Tables_number 99
_symmetry_space_group_name_Hall 'P 4 -2'
_cell_length_a 3.355
_cell_length_b 3.355
_cell_length_c 10.955
_cell_angle_alpha 90.00
_cell_angle_beta 90.00
_cell_angle_gamma 90.00
loop_
_atom_site_label
_atom_site_type_symbol
_atom_site_fract_x
_atom_site_fract_y
_atom_site_fract_z
Hf1 Hf 0.000 0.000 0.000
Hf2 Hf 0.500 0.500 0.498
Cd1 Cd 0.000 0.000 0.329
Cd2 Cd 0.000 0.000 0.668
Cd3 Cd 0.500 0.500 0.829
Hg1 Hg 0.500 0.500 0.165
```

[7]
Starting from a crystal structure in OQMD, relaxed with PBE, the PXRD pattern of Hf3Mg2Cd2 was simulated for CuKα.

The 8 most intense peaks (5 to 70 degrees two-theta), sorted by position:
(hkl)	2θ/deg	Rel. int.
0 2 0	8.31	59
1 1 1	35.63	100
1 7 0	35.74	87
0 6 1	38.65	46
2 0 0	40.50	31
0 8 1	44.97	22
2 6 1	57.22	29
1 13 1	68.14	20

Cell and atoms:
```
data_Hf3Mg2Cd2
_symmetry_space_group_name_H-M 'C m m m'
_symmetry_Int_Tables_number 65
_symmetry_space_group_name_Hall '-C 2 2'
_cell_length_a 4.455
_cell_length_b 21.292
_cell_length_c 3.088
_cell_angle_alpha 90.00
_cell_angle_beta 90.00
_cell_angle_gamma 90.00
loop_
_atom_site_label
_atom_site_type_symbol
_atom_site_fract_x
_atom_site_fract_y
_atom_site_fract_z
Hf1 Hf 0.000 0.000 0.000
Hf2 Hf 0.000 0.146 0.000
Mg1 Mg 0.000 0.286 0.500
Cd1 Cd 0.000 0.426 0.500
```

[8]
Starting from a crystal structure in OQMD, relaxed with PBE, the PXRD pattern of HfMgCd2 was simulated for CuKα.

The 8 most intense peaks (5 to 70 degrees two-theta), sorted by position:
(hkl)	2θ/deg	Rel. int.
1 1 1	22.24	15
2 0 0	25.73	15
2 2 0	36.71	100
3 1 1	43.34	8
2 2 2	45.37	4
4 0 0	52.89	17
4 2 0	59.72	6
4 2 2	66.11	34

Cell and atoms:
```
data_HfMgCd2
_symmetry_space_group_name_H-M 'F -4 3 m'
_symmetry_Int_Tables_number 216
_symmetry_space_group_name_Hall 'F -4 2 3'
_cell_length_a 6.924
_cell_length_b 6.924
_cell_length_c 6.924
_cell_angle_alpha 90.00
_cell_angle_beta 90.00
_cell_angle_gamma 90.00
loop_
_atom_site_label
_atom_site_type_symbol
_atom_site_fract_x
_atom_site_fract_y
_atom_site_fract_z
Hf1 Hf 0.000 0.000 0.000
Mg1 Mg 0.250 0.250 0.750
Cd1 Cd 0.000 0.000 0.500
Cd2 Cd 0.250 0.250 0.250
```

[9]
Starting from a crystal structure in OQMD, relaxed with PBE, the PXRD pattern of Hf2CdMo was simulated for CuKα.

The 8 most intense peaks (5 to 70 degrees two-theta), sorted by position:
(hkl)	2θ/deg	Rel. int.
1 0 0	26.24	8
1 0 2	37.06	100
1 1 0	37.44	53
1 0 3	47.61	5
0 0 4	52.85	7
2 0 0	53.99	18
1 1 4	66.55	13
2 1 2	67.30	34

Cell and atoms:
```
data_Hf2CdMo
_symmetry_space_group_name_H-M 'P 4/m m m'
_symmetry_Int_Tables_number 123
_symmetry_space_group_name_Hall '-P 4 2'
_cell_length_a 3.397
_cell_length_b 3.397
_cell_length_c 6.930
_cell_angle_alpha 90.00
_cell_angle_beta 90.00
_cell_angle_gamma 90.00
loop_
_atom_site_label
_atom_site_type_symbol
_atom_site_fract_x
_atom_site_fract_y
_atom_site_fract_z
Hf1 Hf 0.000 0.000 0.220
Cd1 Cd 0.500 0.500 0.500
Mo1 Mo 0.500 0.500 0.000
```

[10]
Starting from a crystal structure in OQMD, relaxed with PBE, the PXRD pattern of Na2HfCdS4 was simulated for CuKα.

The 8 most intense peaks (5 to 70 degrees two-theta), sorted by position:
(hkl)	2θ/deg	Rel. int.
1 1 0	16.18	88
0 2 1	26.19	100
2 0 -2	27.32	15
3 1 -2	31.92	24
0 0 2	39.03	26
3 3 -1	40.97	17
2 4 0	45.50	35
4 2 -1	47.61	37

Cell and atoms:
```
data_Na2HfCdS4
_symmetry_space_group_name_H-M 'C 1 2 1'
_symmetry_Int_Tables_number 5
_symmetry_space_group_name_Hall 'C 2y'
_cell_length_a 9.230
_cell_length_b 10.071
_cell_length_c 6.528
_cell_angle_alpha 90.00
_cell_angle_beta 134.99
_cell_angle_gamma 90.00
loop_
_atom_site_label
_atom_site_type_symbol
_atom_site_fract_x
_atom_site_fract_y
_atom_site_fract_z
Na1 Na 0.000 0.000 0.000
Na2 Na 0.000 0.251 0.500
Hf1 Hf 0.000 0.500 0.000
Cd1 Cd 0.000 0.750 0.500
S1 S 0.210 0.623 0.444
S2 S 0.235 0.377 0.026
```

[11]
Starting from a crystal structure in OQMD, relaxed with PBE, the PXRD pattern of Hf2NbCd was simulated for CuKα.

The 6 most intense peaks (5 to 70 degrees two-theta), sorted by position:
(hkl)	2θ/deg	Rel. int.
1 1 1	22.45	7
2 2 0	37.06	100
3 1 1	43.76	4
4 0 0	53.42	17
3 3 1	58.66	2
4 2 2	66.80	35

Cell and atoms:
```
data_Hf2NbCd
_symmetry_space_group_name_H-M 'F -4 3 m'
_symmetry_Int_Tables_number 216
_symmetry_space_group_name_Hall 'F -4 2 3'
_cell_length_a 6.861
_cell_length_b 6.861
_cell_length_c 6.861
_cell_angle_alpha 90.00
_cell_angle_beta 90.00
_cell_angle_gamma 90.00
loop_
_atom_site_label
_atom_site_type_symbol
_atom_site_fract_x
_atom_site_fract_y
_atom_site_fract_z
Hf1 Hf 0.000 0.000 0.000
Hf2 Hf 0.250 0.250 0.250
Nb1 Nb 0.000 0.000 0.500
Cd1 Cd 0.250 0.250 0.750
```

[12]
Starting from a crystal structure in OQMD, relaxed with PBE, the PXRD pattern of HfNpCd was simulated for CuKα.

The 8 most intense peaks (5 to 70 degrees two-theta), sorted by position:
(hkl)	2θ/deg	Rel. int.
1 1 1	22.51	38
2 0 0	26.05	13
2 2 0	37.17	100
3 1 1	43.89	21
4 0 0	53.58	18
3 3 1	58.83	9
4 2 0	60.52	5
4 2 2	67.01	36

Cell and atoms:
```
data_HfNpCd
_symmetry_space_group_name_H-M 'F -4 3 m'
_symmetry_Int_Tables_number 216
_symmetry_space_group_name_Hall 'F -4 2 3'
_cell_length_a 6.842
_cell_length_b 6.842
_cell_length_c 6.842
_cell_angle_alpha 90.00
_cell_angle_beta 90.00
_cell_angle_gamma 90.00
loop_
_atom_site_label
_atom_site_type_symbol
_atom_site_fract_x
_atom_site_fract_y
_atom_site_fract_z
Hf1 Hf 0.000 0.000 0.000
Np1 Np 0.250 0.250 0.250
Cd1 Cd 0.250 0.250 0.750
```